[1]
Simulated XRD peak list of Co2NiRh4 for Cu Kα, 1.54184 Å, from a PBE-relaxed structure.
No peak broadening, texture or thermal motion is included.

Main lines, by angle (10 to 90 degrees two-theta):
2θ/deg	Rel. int.
30.09	33
39.10	100
39.29	52
46.69	90
46.81	40
62.50	23
62.68	13
65.31	10
81.44	17
84.03	11

abc: 6.299 6.299 6.299
angles: 109.33 109.33 109.76
Element x y z (fractional)
1 Co 0.001 0.625 0.876
2 Co 0.375 0.251 0.376
3 Co 0.749 0.125 0.124
4 Co 0.875 0.999 0.624
5 Ni 0.250 0.750 0.500
6 Ni 0.500 0.500 0.000
7 Rh 0.121 0.373 0.586
8 Rh 0.123 0.371 0.086
9 Rh 0.285 0.037 0.914
10 Rh 0.465 0.879 0.252
11 Rh 0.627 0.213 0.748
12 Rh 0.629 0.715 0.752
13 Rh 0.787 0.535 0.414
14 Rh 0.963 0.877 0.248

---

[2]
Simulated XRD peak list of CoNi4Rh2 for Cu Kα, 1.54184 Å, from a PBE-relaxed structure.
No peak broadening, texture or thermal motion is included.

Main lines, by angle (10 to 90 degrees two-theta):
2θ/deg	Rel. int.
30.44	32
39.86	32
41.55	35
43.75	23
44.84	100
45.23	64
46.12	92
46.40	25
47.62	37
67.77	22

abc: 4.573 4.573 9.385
angles: 96.48 96.48 113.27
Element x y z (fractional)
1 Co 0.229 0.771 0.500
2 Co 0.771 0.229 0.000
3 Ni 0.209 0.806 0.993
4 Ni 0.412 0.978 0.773
5 Ni 0.599 0.615 0.886
6 Ni 0.615 0.599 0.386
7 Ni 0.806 0.209 0.493
8 Ni 0.852 0.863 0.157
9 Ni 0.863 0.852 0.657
10 Ni 0.978 0.412 0.273
11 Rh 0.347 0.377 0.102
12 Rh 0.377 0.347 0.602
13 Rh 0.412 0.975 0.269
14 Rh 0.975 0.412 0.769

---

[3]
Simulated XRD peak list of Co6Ni2Rh for Cu Kα, 1.54184 Å, from a PBE-relaxed structure.
No peak broadening, texture or thermal motion is included.

Main lines, by angle (10 to 90 degrees two-theta):
2θ/deg	Rel. int.
18.95	3
25.61	3
36.20	3
44.86	98
45.14	100
59.18	4
65.53	29
76.82	6
83.13	29
83.33	15

abc: 4.722 4.722 4.722
angles: 94.91 94.91 94.91
Element x y z (fractional)
1 Co 0.000 0.332 0.668
2 Co 0.000 0.668 0.332
3 Co 0.332 0.000 0.668
4 Co 0.332 0.668 0.000
5 Co 0.668 0.000 0.332
6 Co 0.668 0.332 0.000
7 Ni 0.163 0.163 0.163
8 Ni 0.837 0.837 0.837
9 Rh 0.500 0.500 0.500

---

[4]
Simulated XRD peak list of Co8Ni6Rh for Cu Kα, 1.54184 Å, from a PBE-relaxed structure.
No peak broadening, texture or thermal motion is included.

Main lines, by angle (10 to 90 degrees two-theta):
2θ/deg	Rel. int.
24.11	15
36.58	35
46.12	38
46.55	100
47.88	73
69.00	21
75.28	14
85.41	14
86.07	10
88.34	15

abc: 6.581 6.581 4.845
angles: 90.00 90.00 120.00
Element x y z (fractional)
1 Co 0.000 0.292 0.349
2 Co 0.000 0.708 0.651
3 Co 0.292 0.000 0.349
4 Co 0.292 0.292 0.651
5 Co 0.333 0.667 0.500
6 Co 0.667 0.333 0.500
7 Co 0.708 0.000 0.651
8 Co 0.708 0.708 0.349
9 Ni 0.000 0.369 0.842
10 Ni 0.000 0.631 0.158
11 Ni 0.369 0.000 0.842
12 Ni 0.369 0.369 0.158
13 Ni 0.631 0.000 0.158
14 Ni 0.631 0.631 0.842
15 Rh 0.000 0.000 0.000

---

[5]
Simulated XRD peak list of Co5Ni2Rh for Cu Kα, 1.54184 Å, from a PBE-relaxed structure.
No peak broadening, texture or thermal motion is included.

Main lines, by angle (10 to 90 degrees two-theta):
2θ/deg	Rel. int.
17.53	1
19.58	2
30.60	1
31.86	3
39.75	1
40.84	1
43.78	100
51.00	47
74.87	5
75.04	22

abc: 5.073 10.118 3.579
angles: 90.00 90.00 90.00
Element x y z (fractional)
1 Co 0.000 0.000 0.000
2 Co 0.001 0.246 0.000
3 Co 0.243 0.128 0.500
4 Co 0.257 0.628 0.500
5 Co 0.499 0.746 0.000
6 Co 0.500 0.500 0.000
7 Co 0.501 0.254 0.000
8 Co 0.743 0.372 0.500
9 Co 0.757 0.872 0.500
10 Co 0.999 0.754 0.000
11 Ni 0.245 0.872 0.500
12 Ni 0.255 0.372 0.500
13 Ni 0.745 0.628 0.500
14 Ni 0.755 0.128 0.500
15 Rh 0.000 0.500 0.000
16 Rh 0.500 0.000 0.000

---

[6]
Simulated XRD peak list of Co4Ni3Rh2 for Cu Kα, 1.54184 Å, from a PBE-relaxed structure.
No peak broadening, texture or thermal motion is included.

Main lines, by angle (10 to 90 degrees two-theta):
2θ/deg	Rel. int.
23.82	11
32.03	10
37.67	12
43.49	41
45.78	100
46.64	45
64.98	13
69.84	11
84.70	12
87.59	11

abc: 5.018 11.178 3.964
angles: 90.00 90.00 90.00
Element x y z (fractional)
1 Co 0.110 0.203 0.000
2 Co 0.138 0.879 0.500
3 Co 0.362 0.379 0.000
4 Co 0.390 0.703 0.500
5 Co 0.610 0.297 0.500
6 Co 0.638 0.621 0.000
7 Co 0.862 0.121 0.500
8 Co 0.890 0.797 0.000
9 Ni 0.000 0.000 0.000
10 Ni 0.115 0.331 0.500
11 Ni 0.385 0.831 0.000
12 Ni 0.500 0.500 0.500
13 Ni 0.615 0.169 0.000
14 Ni 0.885 0.669 0.500
15 Rh 0.160 0.593 0.000
16 Rh 0.340 0.093 0.500
17 Rh 0.660 0.907 0.500
18 Rh 0.840 0.407 0.000

---

What is the formula in the third record? Co6Ni2Rh